Record 1
This entry pairs a crystal structure of TmBe4Cu4 with its calculated powder X-ray diffraction pattern. Radiation: λ = 1.5418 Å (Cu Kα). Structure: a crystal structure in Alexandria, relaxed with PBE.
No peak broadening, texture or thermal motion is included.

Principal peaks in the range 10° ≤ 2θ ≤ 80°, by angle:
2θ = 23.24°, d = 3.827 Å, rel. 46, (2 0 0); 2θ = 25.39°, d = 3.508 Å, rel. 47, (1 0 1); 2θ = 33.10°, d = 2.706 Å, rel. 17, (2 2 0); 2θ = 34.69°, d = 2.586 Å, rel. 100, (1 2 1); 2θ = 37.14°, d = 2.421 Å, rel. 54, (3 1 0); 2θ = 42.17°, d = 2.143 Å, rel. 11, (3 0 1); 2θ = 46.00°, d = 1.973 Å, rel. 21, (0 0 2); 2θ = 48.70°, d = 1.870 Å, rel. 51, (3 2 1); 2θ = 54.63°, d = 1.680 Å, rel. 18, (1 4 1); 2θ = 60.54°, d = 1.529 Å, rel. 25, (3 1 2); 2θ = 61.80°, d = 1.501 Å, rel. 20, (5 1 0); 2θ = 65.38°, d = 1.427 Å, rel. 16, (3 4 1)

Structural model:
```
data_TmBe4Cu4
_chemical_formula_sum 'Tm2 Be8 Cu8'
_space_group_name_H-M_alt 'I 4/m'
_space_group_IT_number 87
_space_group_name_Hall '-I 4'
_cell_length_a 7.655
_cell_length_b 7.655
_cell_length_c 3.946
_cell_angle_alpha 90.00
_cell_angle_beta 90.00
_cell_angle_gamma 90.00
loop_
_atom_site_label
_atom_site_fract_x
_atom_site_fract_y
_atom_site_fract_z
Tm1 0.000 0.000 0.000
Be1 0.170 0.283 0.500
Cu1 0.105 0.615 0.500
```


Record 2
This entry pairs a crystal structure of Y2LuF with its calculated powder X-ray diffraction pattern. Radiation: λ = 1.5418 Å (Cu Kα). Structure: a crystal structure in Alexandria, relaxed with PBE.
No peak broadening, texture or thermal motion is included.

Principal peaks in the range 10° ≤ 2θ ≤ 80°, by angle:
2θ = 10.52°, d = 8.408 Å, rel. 14, (0 0 3); 2θ = 28.33°, d = 3.151 Å, rel. 38, (1 0 1); 2θ = 31.55°, d = 2.836 Å, rel. 100, (1 0 4); 2θ = 31.93°, d = 2.803 Å, rel. 32, (0 0 9); 2θ = 33.34°, d = 2.687 Å, rel. 62, (0 1 5); 2θ = 40.31°, d = 2.237 Å, rel. 26, (0 1 8); 2θ = 45.95°, d = 1.975 Å, rel. 13, (1 0 10); 2θ = 49.73°, d = 1.833 Å, rel. 34, (1 1 0); 2θ = 55.50°, d = 1.656 Å, rel. 17, (1 0 13); 2θ = 58.94°, d = 1.567 Å, rel. 14, (0 1 14); 2θ = 60.09°, d = 1.540 Å, rel. 15, (0 2 4); 2θ = 60.33°, d = 1.534 Å, rel. 31, (1 1 9)

Structural model:
```
data_Y2LuF
_chemical_formula_sum 'Y6 Lu3 F3'
_space_group_name_H-M_alt 'R -3 m'
_space_group_IT_number 166
_space_group_name_Hall '-R 3 2"'
_cell_length_a 3.6666
_cell_length_b 3.6666
_cell_length_c 25.2252
_cell_angle_alpha 90.00
_cell_angle_beta 90.00
_cell_angle_gamma 120.00
loop_
_atom_site_label
_atom_site_fract_x
_atom_site_fract_y
_atom_site_fract_z
Y1 0.0000 0.0000 0.2238
Lu1 0.0000 0.0000 0.0000
F1 0.0000 0.0000 0.5000
```


Record 3
This entry pairs a crystal structure of Cd3In3Hg2 with its calculated powder X-ray diffraction pattern. Radiation: λ = 1.5418 Å (Cu Kα). Structure: a crystal structure in Alexandria, relaxed with PBE.
No peak broadening, texture or thermal motion is included.

Principal peaks in the range 10° ≤ 2θ ≤ 80°, by angle:
2θ = 19.00°, d = 4.670 Å, rel. 2, (0 1 0); 2θ = 33.45°, d = 2.679 Å, rel. 100, (1 1 2); 2θ = 37.13°, d = 2.422 Å, rel. 19, (0 0 4); 2θ = 38.56°, d = 2.335 Å, rel. 17, (0 2 0); 2θ = 40.70°, d = 2.217 Å, rel. 15, (2 0 0); 2θ = 54.60°, d = 1.681 Å, rel. 12, (0 2 4); 2θ = 56.26°, d = 1.635 Å, rel. 11, (2 0 4); 2θ = 57.31°, d = 1.608 Å, rel. 10, (2 2 0); 2θ = 64.60°, d = 1.443 Å, rel. 14, (1 1 6); 2θ = 66.53°, d = 1.406 Å, rel. 13, (1 3 2); 2θ = 69.48°, d = 1.353 Å, rel. 12, (3 1 2); 2θ = 70.28°, d = 1.339 Å, rel. 11, (2 2 4)

Structural model:
```
data_Cd3In3Hg2
_chemical_formula_sum 'Cd3 In3 Hg2'
_space_group_name_H-M_alt 'P m m m'
_space_group_IT_number 47
_cell_length_a 4.433
_cell_length_b 4.670
_cell_length_c 9.687
_cell_angle_alpha 90.00
_cell_angle_beta 90.00
_cell_angle_gamma 90.00
loop_
_space_group_symop_operation_xyz
'x,y,z'
'-x,-y,-z'
'-x,-y,z'
'x,y,-z'
'x,-y,-z'
'-x,y,z'
'-x,y,-z'
'x,-y,z'
loop_
_atom_site_label
_atom_site_fract_x
_atom_site_fract_y
_atom_site_fract_z
Cd1 0.000 0.000 0.000
Cd2 0.500 0.000 0.245
In1 0.000 0.000 0.500
In2 0.500 0.500 0.000
In3 0.500 0.500 0.500
Hg1 0.000 0.500 0.244
```


Record 4
This entry pairs a crystal structure of Sm4GeTeAs2 with its calculated powder X-ray diffraction pattern. Radiation: λ = 1.5418 Å (Cu Kα). Structure: a crystal structure in Alexandria, relaxed with PBE.
No peak broadening, texture or thermal motion is included.

Principal peaks in the range 10° ≤ 2θ ≤ 80°, by angle:
2θ = 25.34°, d = 3.515 Å, rel. 6, (2 0 0); 2θ = 25.61°, d = 3.478 Å, rel. 6, (1 1 -1); 2θ = 29.50°, d = 3.028 Å, rel. 100, (2 0 -2); 2θ = 41.86°, d = 2.158 Å, rel. 12, (2 0 2); 2θ = 42.21°, d = 2.141 Å, rel. 50, (3 1 -1); 2θ = 42.55°, d = 2.125 Å, rel. 12, (0 2 0); 2θ = 52.04°, d = 1.757 Å, rel. 13, (4 0 0); 2θ = 52.62°, d = 1.739 Å, rel. 13, (2 2 -2); 2θ = 61.22°, d = 1.514 Å, rel. 12, (4 0 -4); 2θ = 69.40°, d = 1.354 Å, rel. 22, (5 1 -3); 2θ = 76.69°, d = 1.243 Å, rel. 8, (5 1 1); 2θ = 77.64°, d = 1.230 Å, rel. 8, (3 3 -1)

Structural model:
```
data_Sm4GeTeAs2
_chemical_formula_sum 'Sm4 Ge1 Te1 As2'
_space_group_name_H-M_alt 'P 1 2/m 1'
_space_group_IT_number 10
_cell_length_a 7.432
_cell_length_b 4.249
_cell_length_c 7.441
_cell_angle_alpha 90.00
_cell_angle_beta 109.04
_cell_angle_gamma 90.00
loop_
_space_group_symop_operation_xyz
'x,y,z'
'-x,-y,-z'
'-x,y,-z'
'x,-y,z'
loop_
_atom_site_label
_atom_site_fract_x
_atom_site_fract_y
_atom_site_fract_z
Sm1 0.235 0.000 0.233
Sm2 0.243 0.500 0.756
Ge1 0.500 0.000 0.000
Te1 0.500 0.500 0.500
As1 0.000 0.000 0.500
As2 0.000 0.500 0.000
```


Record 5
This entry pairs a crystal structure of K5Hg3 with its calculated powder X-ray diffraction pattern. Radiation: λ = 1.5418 Å (Cu Kα). Structure: a crystal structure in Alexandria, relaxed with PBE.
No peak broadening, texture or thermal motion is included.

Principal peaks in the range 10° ≤ 2θ ≤ 80°, by angle:
2θ = 16.98°, d = 5.223 Å, rel. 34, (1 1 0); 2θ = 20.79°, d = 4.273 Å, rel. 100, (1 1 1); 2θ = 23.95°, d = 3.716 Å, rel. 42, (0 0 2); 2θ = 28.74°, d = 3.106 Å, rel. 90, (2 1 1); 2θ = 29.50°, d = 3.028 Å, rel. 57, (1 1 2); 2θ = 29.63°, d = 3.015 Å, rel. 41, (3 0 0); 2θ = 31.15°, d = 2.871 Å, rel. 31, (2 0 2); 2θ = 37.85°, d = 2.377 Å, rel. 67, (3 1 1); 2θ = 45.20°, d = 2.006 Å, rel. 26, (2 1 3); 2θ = 50.40°, d = 1.811 Å, rel. 33, (5 0 0); 2θ = 51.87°, d = 1.763 Å, rel. 28, (3 1 3); 2θ = 56.58°, d = 1.627 Å, rel. 29, (5 0 2)

Structural model:
```
data_K5Hg3
_chemical_formula_sum 'K10 Hg6'
_space_group_name_H-M_alt 'P 63/m c m'
_space_group_IT_number 193
_space_group_name_Hall '-P 6c 2'
_cell_length_a 10.4457
_cell_length_b 10.4457
_cell_length_c 7.4320
_cell_angle_alpha 90.00
_cell_angle_beta 90.00
_cell_angle_gamma 120.00
loop_
_atom_site_label
_atom_site_fract_x
_atom_site_fract_y
_atom_site_fract_z
K1 0.0000 0.2560 0.2500
K2 0.3333 0.6667 0.0000
Hg1 0.0000 0.3973 0.7500
```


Record 6
This entry pairs a crystal structure of Ho7AuI12 with its calculated powder X-ray diffraction pattern. Radiation: λ = 1.5418 Å (Cu Kα). Structure: a crystal structure in Alexandria, relaxed with PBE.
No peak broadening, texture or thermal motion is included.

Principal peaks in the range 10° ≤ 2θ ≤ 80°, by angle:
2θ = 10.64°, d = 8.314 Å, rel. 13, (1 0 1); 2θ = 11.27°, d = 7.849 Å, rel. 33, (1 1 0); 2θ = 25.09°, d = 3.549 Å, rel. 9, (1 3 1); 2θ = 29.15°, d = 3.063 Å, rel. 100, (4 -1 2); 2θ = 41.48°, d = 2.177 Å, rel. 35, (5 2 0); 2θ = 41.91°, d = 2.155 Å, rel. 37, (1 3 4); 2θ = 51.50°, d = 1.774 Å, rel. 18, (2 6 2); 2θ = 52.23°, d = 1.751 Å, rel. 6, (0 0 6); 2θ = 60.44°, d = 1.532 Å, rel. 11, (8 -2 4); 2θ = 68.18°, d = 1.375 Å, rel. 14, (9 1 2); 2θ = 68.80°, d = 1.365 Å, rel. 15, (5 2 6); 2θ = 75.97°, d = 1.253 Å, rel. 10, (6 5 4)

Structural model:
```
data_Ho7AuI12
_chemical_formula_sum 'Ho21 Au3 I36'
_space_group_name_H-M_alt 'R -3'
_space_group_IT_number 148
_space_group_name_Hall '-R 3'
_cell_length_a 15.6971
_cell_length_b 15.6971
_cell_length_c 10.5084
_cell_angle_alpha 90.00
_cell_angle_beta 90.00
_cell_angle_gamma 120.00
loop_
_atom_site_label
_atom_site_fract_x
_atom_site_fract_y
_atom_site_fract_z
Ho1 0.0000 0.0000 0.0000
Ho2 0.0451 0.8848 0.3455
Au1 0.0000 0.0000 0.5000
I1 0.0214 0.4364 0.1607
I2 0.0522 0.8677 0.8420
```


Record 7
This entry pairs a crystal structure of LaPrNdZn with its calculated powder X-ray diffraction pattern. Radiation: λ = 1.5418 Å (Cu Kα). Structure: a crystal structure in Alexandria, relaxed with PBE.
No peak broadening, texture or thermal motion is included.

Principal peaks in the range 10° ≤ 2θ ≤ 80°, by angle:
2θ = 25.91°, d = 3.438 Å, rel. 17, (1 0 1); 2θ = 30.32°, d = 2.948 Å, rel. 11, (0 0 3); 2θ = 31.36°, d = 2.852 Å, rel. 100, (1 0 2); 2θ = 33.97°, d = 2.639 Å, rel. 49, (1 1 0); 2θ = 40.81°, d = 2.211 Å, rel. 6, (0 0 4); 2θ = 46.17°, d = 1.966 Å, rel. 14, (1 1 3); 2θ = 48.81°, d = 1.866 Å, rel. 18, (2 0 0); 2θ = 54.11°, d = 1.695 Å, rel. 11, (1 1 4); 2θ = 57.67°, d = 1.598 Å, rel. 11, (1 0 5); 2θ = 58.54°, d = 1.577 Å, rel. 7, (2 0 3); 2θ = 59.17°, d = 1.561 Å, rel. 32, (2 1 2); 2θ = 78.85°, d = 1.214 Å, rel. 9, (2 1 5)

Structural model:
```
data_LaPrNdZn
_chemical_formula_sum 'La1 Pr1 Nd1 Zn1'
_space_group_name_H-M_alt 'P 4 m m'
_space_group_IT_number 99
_cell_length_a 3.732
_cell_length_b 3.732
_cell_length_c 8.845
_cell_angle_alpha 90.00
_cell_angle_beta 90.00
_cell_angle_gamma 90.00
loop_
_space_group_symop_operation_xyz
'x,y,z'
'-y,x,z'
'-x,-y,z'
'y,-x,z'
'-x,y,z'
'y,x,z'
'x,-y,z'
'-y,-x,z'
loop_
_atom_site_label
_atom_site_fract_x
_atom_site_fract_y
_atom_site_fract_z
La1 0.000 0.000 0.000
Pr1 0.500 0.500 0.703
Nd1 0.500 0.500 0.294
Zn1 0.000 0.000 0.495
```


Record 8
This entry pairs a crystal structure of Mn6FeOs4 with its calculated powder X-ray diffraction pattern. Radiation: λ = 1.5418 Å (Cu Kα). Structure: a crystal structure in Alexandria, relaxed with PBE.
No peak broadening, texture or thermal motion is included.

Principal peaks in the range 10° ≤ 2θ ≤ 80°, by angle:
2θ = 17.28°, d = 5.131 Å, rel. 16, (0 0 1); 2θ = 22.61°, d = 3.933 Å, rel. 44, (2 0 1); 2θ = 23.68°, d = 3.758 Å, rel. 15, (4 0 0); 2θ = 26.81°, d = 3.326 Å, rel. 33, (2 2 0); 2θ = 29.72°, d = 3.006 Å, rel. 18, (0 2 1); 2θ = 36.37°, d = 2.470 Å, rel. 16, (4 2 -1); 2θ = 42.86°, d = 2.110 Å, rel. 100, (2 2 -2); 2θ = 43.60°, d = 2.076 Å, rel. 96, (6 2 0); 2θ = 46.12°, d = 1.968 Å, rel. 57, (4 0 2); 2θ = 46.30°, d = 1.961 Å, rel. 20, (2 2 2); 2θ = 49.13°, d = 1.854 Å, rel. 34, (0 4 0); 2θ = 69.67°, d = 1.350 Å, rel. 27, (4 4 2)

Structural model:
```
data_Mn6FeOs4
_chemical_formula_sum 'Mn24 Fe4 Os16'
_space_group_name_H-M_alt 'C 1 m 1'
_space_group_IT_number 8
_cell_length_a 15.253
_cell_length_b 7.417
_cell_length_c 5.207
_cell_angle_alpha 90.00
_cell_angle_beta 99.80
_cell_angle_gamma 90.00
loop_
_space_group_symop_operation_xyz
'x,y,z'
'x,-y,z'
'x+1/2,y+1/2,z'
'x+1/2,-y+1/2,z'
loop_
_atom_site_label
_atom_site_fract_x
_atom_site_fract_y
_atom_site_fract_z
Mn1 0.000 0.000 0.000
Mn2 0.002 0.000 0.533
Mn3 0.074 0.280 0.533
Mn4 0.169 0.500 0.338
Mn5 0.243 0.243 0.127
Mn6 0.244 0.234 0.635
Mn7 0.334 0.000 0.924
Mn8 0.417 0.244 0.721
Fe1 0.146 0.000 0.829
Fe2 0.339 0.500 0.935
Os1 0.071 0.293 0.032
Os2 0.148 0.000 0.330
Os3 0.175 0.500 0.822
Os4 0.332 0.000 0.433
Os5 0.333 0.500 0.437
Os6 0.421 0.243 0.225
```